Record 1
Diffraction record for Pa4FeI5. The X-ray powder pattern is theoretical, not measured: it uses a PBE-relaxed structure and CuKα.
Neutral-atom scattering factors, no anomalous dispersion.

Atomic structure:
```
data_Pa4FeI5
_chemical_formula_sum 'Pa8 Fe2 I10'
_cell_length_a 18.411
_cell_length_b 3.864
_cell_length_c 9.038
_cell_angle_alpha 90.00
_cell_angle_beta 100.56
_cell_angle_gamma 90.00
_space_group_name_H-M_alt 'C 1 2/m 1'
_space_group_IT_number 12
loop_
_space_group_symop_operation_xyz
'x,y,z'
'-x,-y,-z'
'-x,y,-z'
'x,-y,z'
'x+1/2,y+1/2,z'
'-x+1/2,-y+1/2,-z'
'-x+1/2,y+1/2,-z'
'x+1/2,-y+1/2,z'
loop_
_atom_site_label
_atom_site_fract_x
_atom_site_fract_y
_atom_site_fract_z
_atom_site_occupancy
Pa1 0.002 0.000 0.316 1
Pa2 0.156 0.500 0.554 1
Fe1 0.000 0.500 0.500 1
I1 0.000 0.500 0.000 1
I2 0.166 0.000 0.836 1
I3 0.172 0.000 0.286 1
```

Top 12 peaks for 15° ≤ 2θ ≤ 90°, sorted by position:
h k l, 2theta, I_rel
3 1 -1, 28.26, 32
6 0 0, 29.61, 68
3 1 1, 30.17, 32
1 1 -2, 30.47, 100
4 0 -3, 32.99, 37
2 0 3, 33.52, 27
5 1 2, 42.07, 36
7 1 -2, 43.92, 38
0 2 0, 47.04, 20
6 2 0, 56.57, 23
1 1 5, 58.21, 12
5 1 -5, 58.63, 29

---

Record 2
Diffraction record for KEr2Se. The X-ray powder pattern is theoretical, not measured: it uses a PBE-relaxed structure and CuKα.
Neutral-atom scattering factors, no anomalous dispersion.

Atomic structure:
```
data_KEr2Se
_chemical_formula_sum 'K3 Er6 Se3'
_cell_length_a 3.8214
_cell_length_b 3.8214
_cell_length_c 32.9170
_cell_angle_alpha 90.00
_cell_angle_beta 90.00
_cell_angle_gamma 120.00
_space_group_name_H-M_alt 'R -3 m'
_space_group_IT_number 166
_space_group_name_Hall '-R 3 2"'
loop_
_atom_site_label
_atom_site_fract_x
_atom_site_fract_y
_atom_site_fract_z
_atom_site_occupancy
K1 0.0000 0.0000 0.0000 1
Er1 0.0000 0.0000 0.1142 1
Se1 0.0000 0.0000 0.5000 1
```

Top 12 peaks for 15° ≤ 2θ ≤ 90°, sorted by position:
h k l, 2theta, I_rel
0 0 9, 24.34, 42
1 0 1, 27.08, 52
0 1 2, 27.49, 31
1 0 4, 29.08, 38
0 1 5, 30.23, 100
0 1 8, 34.79, 99
1 0 10, 38.58, 49
1 0 13, 45.08, 40
1 1 0, 47.59, 51
1 1 3, 48.35, 24
1 1 9, 54.16, 28
1 1 18, 71.40, 27

---

Record 3
Diffraction record for Co2Os. The X-ray powder pattern is theoretical, not measured: it uses a PBE-relaxed structure and CuKα.
Neutral-atom scattering factors, no anomalous dispersion.

Atomic structure:
```
data_Co2Os
_chemical_formula_sum 'Co8 Os4'
_cell_length_a 9.306
_cell_length_b 2.638
_cell_length_c 6.068
_cell_angle_alpha 90.00
_cell_angle_beta 104.71
_cell_angle_gamma 90.00
_space_group_name_H-M_alt 'C 1 2/m 1'
_space_group_IT_number 12
loop_
_space_group_symop_operation_xyz
'x,y,z'
'-x,-y,-z'
'-x,y,-z'
'x,-y,z'
'x+1/2,y+1/2,z'
'-x+1/2,-y+1/2,-z'
'-x+1/2,y+1/2,-z'
'x+1/2,-y+1/2,z'
loop_
_atom_site_label
_atom_site_fract_x
_atom_site_fract_y
_atom_site_fract_z
_atom_site_occupancy
Co1 0.028 0.000 0.299 1
Co2 0.138 0.500 0.029 1
Os1 0.192 0.500 0.644 1
```

Top 12 peaks for 15° ≤ 2θ ≤ 90°, sorted by position:
h k l, 2theta, I_rel
0 0 1, 15.10, 48
2 0 0, 19.73, 41
2 0 1, 27.88, 34
1 1 -1, 37.68, 30
1 1 1, 39.77, 42
4 0 -2, 44.06, 62
1 1 -2, 45.63, 90
3 1 0, 45.80, 100
0 0 3, 46.42, 41
4 0 1, 46.76, 38
3 1 3, 73.54, 33
7 1 -2, 82.42, 23

---

Record 4
Diffraction record for TiNbP. The X-ray powder pattern is theoretical, not measured: it uses a PBE-relaxed structure and CuKα.
Neutral-atom scattering factors, no anomalous dispersion.

Atomic structure:
```
data_TiNbP
_chemical_formula_sum 'Ti3 Nb3 P3'
_cell_length_a 6.7336
_cell_length_b 6.7336
_cell_length_c 3.4725
_cell_angle_alpha 90.00
_cell_angle_beta 90.00
_cell_angle_gamma 120.00
_space_group_name_H-M_alt 'P -6 2 m'
_space_group_IT_number 189
_space_group_name_Hall 'P -6 -2'
loop_
_atom_site_label
_atom_site_fract_x
_atom_site_fract_y
_atom_site_fract_z
_atom_site_occupancy
Ti1 0.0000 0.7458 0.0000 1
Nb1 0.0000 0.4159 0.5000 1
P1 0.0000 0.0000 0.5000 1
P2 0.3333 0.6667 0.0000 1
```

Top 12 peaks for 15° ≤ 2θ ≤ 90°, sorted by position:
h k l, 2theta, I_rel
1 1 0, 26.47, 17
2 0 0, 30.66, 20
1 1 1, 37.20, 100
2 0 1, 40.39, 81
2 1 0, 40.95, 49
3 0 0, 46.73, 17
0 0 2, 52.72, 18
3 1 0, 56.93, 20
3 1 1, 63.45, 29
2 1 2, 68.84, 19
3 2 1, 76.27, 19
3 1 2, 81.30, 14

---

Record 5
Diffraction record for SmZn2P2Pt7. The X-ray powder pattern is theoretical, not measured: it uses a PBE-relaxed structure and CuKα.
Neutral-atom scattering factors, no anomalous dispersion.

Atomic structure:
```
data_SmZn2P2Pt7
_chemical_formula_sum 'Sm2 Zn4 P4 Pt14'
_cell_length_a 5.583
_cell_length_b 5.580
_cell_length_c 14.094
_cell_angle_alpha 90.00
_cell_angle_beta 98.43
_cell_angle_gamma 90.00
_space_group_name_H-M_alt 'C 1 2/m 1'
_space_group_IT_number 12
loop_
_space_group_symop_operation_xyz
'x,y,z'
'-x,-y,-z'
'-x,y,-z'
'x,-y,z'
'x+1/2,y+1/2,z'
'-x+1/2,-y+1/2,-z'
'-x+1/2,y+1/2,-z'
'x+1/2,-y+1/2,z'
loop_
_atom_site_label
_atom_site_fract_x
_atom_site_fract_y
_atom_site_fract_z
_atom_site_occupancy
Sm1 0.000 0.000 0.000 1
Zn1 0.100 0.000 0.417 1
P1 0.094 0.500 0.259 1
Pt1 0.000 0.500 0.000 1
Pt2 0.111 0.500 0.420 1
Pt3 0.190 0.250 0.836 1
```

Top 12 peaks for 15° ≤ 2θ ≤ 90°, sorted by position:
h k l, 2theta, I_rel
0 0 3, 19.10, 39
0 0 5, 32.10, 75
0 2 1, 32.74, 30
0 2 2, 34.63, 82
2 0 -3, 35.29, 82
2 0 2, 36.72, 99
0 2 3, 37.60, 100
2 0 -5, 42.57, 27
0 0 7, 45.55, 38
2 2 -1, 46.02, 80
2 2 0, 46.26, 46
0 2 6, 51.16, 32